Calculated powder XRD pattern
Compound: K2LiZnP2
Radiation: λ = 1.5418 Å (Cu Kα)
Structure: the GGA-PBE geometry in Alexandria
Lines closer than 0.1° are merged.

Atomic structure:
Cell lengths 6.1462, 14.8064, 6.1824 Å; angles 90.00, 90.00, 90.00 degrees
Space group Ibam (No. 72)
Inequivalent atoms, fractional coordinates:
K (0.2392, 0.1705, 0.0000) [8 per cell]
Li (0.0000, 0.0000, 0.2500) [4 per cell]
Zn (0.0000, 0.5000, 0.2500) [4 per cell]
P (0.2323, 0.4112, 0.0000) [8 per cell]

Top 10 peaks for 2θ from 10° to 90°, in order of rising 2θ:
(hkl)  d [Å]  I_rel
0 2 0  7.403  61.4
1 1 0  5.677  88.3
1 3 0  3.848  37.3
0 2 2  2.853  29.9
2 2 0  2.838  29.7
1 4 1  2.821  100.0
1 1 2  2.715  23.8
0 4 2  2.373  43.5
2 4 0  2.364  42.3
2 0 2  2.179  71.2



Calculated powder XRD pattern
Compound: K2LiPa3S8
Radiation: λ = 1.5418 Å (Cu Kα)
Structure: the GGA-PBE geometry in Alexandria
Lines closer than 0.1° are merged.

Atomic structure:
Cell lengths 8.0897, 8.0897, 23.4375 Å; angles 90.00, 90.00, 120.00 degrees
Space group R3m (No. 160, hexagonal axes)
Inequivalent atoms, fractional coordinates:
K (0.0000, 0.0000, 0.0000) [3 per cell]
K (0.0000, 0.0000, 0.3583) [3 per cell]
Li (0.0000, 0.0000, 0.8370) [3 per cell]
Pa (0.1677, 0.3354, 0.1918) [9 per cell]
S (0.0000, 0.0000, 0.1313) [3 per cell]
S (0.0000, 0.0000, 0.5863) [3 per cell]
S (0.0170, 0.5085, 0.1305) [9 per cell]
S (0.1762, 0.3524, 0.9191) [9 per cell]

Top 10 peaks for 2θ from 10° to 90°, in order of rising 2θ:
(hkl)  d [Å]  I_rel
0 0 3  7.812  100.0
1 0 1  6.712  26.8
0 0 6  3.902  21.1
1 1 3  3.592  17.8
0 2 1  3.464  35.5
0 2 4  3.007  52.6
0 2 7  2.420  28.1
2 0 8  2.247  20.9
2 2 0  2.022  21.1
2 2 3  1.958  19.1



Calculated powder XRD pattern
Compound: KLi2PaTe4
Radiation: λ = 1.5418 Å (Cu Kα)
Structure: the GGA-PBE geometry in Alexandria
Lines closer than 0.1° are merged.

Atomic structure:
Cell lengths 7.8908, 7.8931, 8.8937 Å; angles 90.00, 90.00, 90.00 degrees
Space group I222 (No. 23)
Inequivalent atoms, fractional coordinates:
K (0.0000, 0.0000, 0.0000) [2 per cell]
Li (0.0000, 0.5000, 0.2493) [4 per cell]
Pa (0.0000, 0.0000, 0.5000) [2 per cell]
Te (0.2168, 0.2168, 0.3191) [8 per cell]

Top 10 peaks for 2θ from 10° to 90°, in order of rising 2θ:
(hkl)  d [Å]  I_rel
1 0 1  5.903  85.3
1 1 0  5.580  57.9
1 1 2  3.478  100.0
2 1 1  3.281  44.7
2 0 2  2.951  97.8
2 2 0  2.790  66.6
3 1 2  2.176  52.1
3 2 1  2.125  28.6
1 1 4  2.066  33.2
4 1 1  1.871  26.7



Calculated powder XRD pattern
Compound: KLiPb
Radiation: λ = 1.5418 Å (Cu Kα)
Structure: the GGA-PBE geometry in Alexandria
Lines closer than 0.1° are merged.

Atomic structure:
Cell lengths 6.4775, 6.6133, 8.7790 Å; angles 90.00, 90.00, 90.00 degrees
Space group Imma (No. 74)
Inequivalent atoms, fractional coordinates:
K (0.0000, 0.2500, 0.1267) [4 per cell]
Li (0.2500, 0.2500, 0.7500) [4 per cell]
Pb (0.0000, 0.0000, 0.5000) [4 per cell]

Top 10 peaks for 2θ from 10° to 90°, in order of rising 2θ:
(hkl)  d [Å]  I_rel
1 0 1  5.212  100.0
0 0 2  4.389  43.9
2 0 0  3.239  31.4
1 2 1  2.792  80.2
1 0 3  2.667  35.8
0 2 2  2.641  28.2
2 0 2  2.606  26.7
1 2 3  2.076  20.1
2 2 2  2.047  24.9
3 2 1  1.771  21.2



Calculated powder XRD pattern
Compound: K5LiPb6
Radiation: λ = 1.5418 Å (Cu Kα)
Structure: the GGA-PBE geometry in Alexandria
Lines closer than 0.1° are merged.

Atomic structure:
Cell lengths 7.2716, 16.2847, 8.7686 Å; angles 90.00, 112.63, 90.00 degrees
Space group C2/m (No. 12)
Inequivalent atoms, fractional coordinates:
K (0.0000, 0.0000, 0.0000) [2 per cell]
K (0.0000, 0.2846, 0.0000) [4 per cell]
K (0.0000, 0.3589, 0.5000) [4 per cell]
Li (0.0000, 0.0000, 0.5000) [2 per cell]
Pb (0.0628, 0.1419, 0.6874) [8 per cell]
Pb (0.0964, 0.5000, 0.2004) [4 per cell]

Top 10 peaks for 2θ from 10° to 90°, in order of rising 2θ:
(hkl)  d [Å]  I_rel
1 1 -1  6.078  100.0
1 3 0  4.221  80.7
0 4 1  3.635  37.1
2 0 0  3.355  52.8
1 1 -3  2.876  46.9
2 4 -1  2.712  80.1
1 3 2  2.621  55.7
0 4 3  2.251  25.9
2 0 2  2.202  28.1
1 7 -3  1.819  38.0



Calculated powder XRD pattern
Compound: KLi3Pb9
Radiation: λ = 1.5418 Å (Cu Kα)
Structure: the GGA-PBE geometry in Alexandria
Lines closer than 0.1° are merged.

Atomic structure:
Cell lengths 6.2824, 16.1368, 8.0051 Å; angles 90.00, 110.25, 90.00 degrees
Space group C2/m (No. 12)
Inequivalent atoms, fractional coordinates:
K (0.0000, 0.0000, 0.0000) [2 per cell]
Li (0.0000, 0.5000, 0.5000) [2 per cell]
Li (0.2500, 0.2500, 0.0000) [4 per cell]
Pb (0.0000, 0.0000, 0.5000) [2 per cell]
Pb (0.0929, 0.3839, 0.2181) [8 per cell]
Pb (0.1558, 0.1793, 0.3400) [8 per cell]

Top 10 peaks for 2θ from 10° to 90°, in order of rising 2θ:
(hkl)  d [Å]  I_rel
0 0 1  7.510  61.3
1 1 -1  5.367  63.3
2 0 -1  3.137  92.1
1 5 0  2.831  100.0
0 4 2  2.749  73.0
1 1 2  2.724  65.2
1 5 1  2.515  58.7
2 4 -1  2.477  61.4
2 0 1  2.467  72.9
1 3 -3  2.384  54.8



Calculated powder XRD pattern
Compound: KLi6Pb12
Radiation: λ = 1.5418 Å (Cu Kα)
Structure: the GGA-PBE geometry in Alexandria
Lines closer than 0.1° are merged.

Atomic structure:
Cell lengths 13.5563, 13.5563, 9.9876 Å; angles 90.00, 90.00, 120.00 degrees
Space group R-3m (No. 166, hexagonal axes)
Inequivalent atoms, fractional coordinates:
K (0.0000, 0.0000, 0.0000) [3 per cell]
Li (0.0359, 0.5180, 0.2537) [18 per cell]
Pb (0.0000, 0.3798, 0.5000) [18 per cell]
Pb (0.0831, 0.1662, 0.3379) [18 per cell]

Top 10 peaks for 2θ from 10° to 90°, in order of rising 2θ:
(hkl)  d [Å]  I_rel
1 0 1  7.607  18.2
0 1 2  4.595  23.3
2 0 2  3.804  20.5
1 3 1  3.096  100.0
1 1 3  2.988  49.3
3 2 1  2.600  20.1
3 0 3  2.534  68.6
5 0 2  2.125  38.4
0 5 4  1.711  19.4
3 5 1  1.654  23.2



Calculated powder XRD pattern
Compound: K3LiPb4
Radiation: λ = 1.5418 Å (Cu Kα)
Structure: the GGA-PBE geometry in Alexandria
Lines closer than 0.1° are merged.

Atomic structure:
Cell lengths 6.9496, 16.1811, 10.4986 Å; angles 90.00, 90.00, 90.00 degrees
Space group Cmcm (No. 63)
Inequivalent atoms, fractional coordinates:
K (0.0000, 0.1137, 0.0433) [8 per cell]
K (0.0000, 0.2777, 0.7500) [4 per cell]
Li (0.0000, 0.5000, 0.0000) [4 per cell]
Pb (0.0000, 0.3288, 0.1025) [8 per cell]
Pb (0.2368, 0.4646, 0.2500) [8 per cell]

Top 10 peaks for 2θ from 10° to 90°, in order of rising 2θ:
(hkl)  d [Å]  I_rel
0 2 1  6.404  100.0
1 1 1  5.456  36.5
0 2 2  4.404  41.3
1 3 0  4.261  33.3
2 2 0  3.193  50.5
1 1 3  3.069  41.2
2 0 2  2.898  32.2
0 4 3  2.647  42.1
2 4 1  2.557  42.0
2 2 3  2.358  26.2



Calculated powder XRD pattern
Compound: KLiTlPb
Radiation: λ = 1.5418 Å (Cu Kα)
Structure: the GGA-PBE geometry in Alexandria
Lines closer than 0.1° are merged.

Atomic structure:
Cell lengths 3.6509, 3.6509, 8.5860 Å; angles 90.00, 90.00, 90.00 degrees
Space group P4mm (No. 99)
Inequivalent atoms, fractional coordinates:
K (0.0000, 0.0000, 0.0000) [1 per cell]
Li (0.0000, 0.0000, 0.5009) [1 per cell]
Tl (0.5000, 0.5000, 0.3067) [1 per cell]
Pb (0.5000, 0.5000, 0.6883) [1 per cell]

Top 10 peaks for 2θ from 10° to 90°, in order of rising 2θ:
(hkl)  d [Å]  I_rel
0 0 1  8.586  31.4
0 0 2  4.293  35.9
1 0 0  3.651  100.0
1 0 1  3.360  43.6
0 0 3  2.862  34.0
1 0 2  2.781  93.3
1 1 0  2.582  65.5
1 0 3  2.252  47.8
1 1 3  1.917  43.1
2 1 2  1.526  30.5



Calculated powder XRD pattern
Compound: K2LiTl6Pd
Radiation: λ = 1.5418 Å (Cu Kα)
Structure: the GGA-PBE geometry in Alexandria
Lines closer than 0.1° are merged.

Atomic structure:
Cell lengths 7.6365, 7.6684, 10.8281 Å; angles 90.00, 90.00, 90.00 degrees
Space group Immm (No. 71)
Inequivalent atoms, fractional coordinates:
K (0.0000, 0.0000, 0.2501) [4 per cell]
Li (0.0000, 0.5000, 0.0000) [2 per cell]
Tl (0.0000, 0.5000, 0.2458) [4 per cell]
Tl (0.2460, 0.2539, 0.0000) [8 per cell]
Pd (0.0000, 0.5000, 0.5000) [2 per cell]

Top 10 peaks for 2θ from 10° to 90°, in order of rising 2θ:
(hkl)  d [Å]  I_rel
1 1 0  5.412  38.0
2 0 2  3.125  100.0
2 2 0  2.706  73.3
2 2 2  2.421  17.2
2 2 4  1.914  44.7
2 4 2  1.633  30.3
4 2 2  1.630  15.1
0 4 4  1.564  9.4
4 4 4  1.210  16.0
2 6 4  1.106  9.4



Calculated powder XRD pattern
Compound: KLiPr2Se4
Radiation: λ = 1.5418 Å (Cu Kα)
Structure: the GGA-PBE geometry in Alexandria
Lines closer than 0.1° are merged.

Atomic structure:
Cell lengths 8.5934, 8.8025, 12.3618 Å; angles 90.00, 90.00, 90.00 degrees
Space group Imma (No. 74)
Inequivalent atoms, fractional coordinates:
K (0.2500, 0.2500, 0.2500) [4 per cell]
Li (0.0000, 0.0000, 0.0000) [4 per cell]
Pr (0.0000, 0.0000, 0.5000) [4 per cell]
Pr (0.2500, 0.2500, 0.7500) [4 per cell]
Se (0.0000, 0.0177, 0.7444) [8 per cell]
Se (0.2451, 0.2500, 0.5082) [8 per cell]

Top 10 peaks for 2θ from 10° to 90°, in order of rising 2θ:
(hkl)  d [Å]  I_rel
0 1 1  7.170  27.4
1 0 1  7.056  36.7
1 2 1  3.734  18.2
0 0 4  3.090  50.6
2 2 0  3.075  100.0
0 4 0  2.201  18.7
2 2 4  2.180  74.0
4 0 0  2.148  18.2
0 4 4  1.793  19.4
4 0 4  1.764  19.2



Calculated powder XRD pattern
Compound: KLiPr2Te4
Radiation: λ = 1.5418 Å (Cu Kα)
Structure: the GGA-PBE geometry in Alexandria
Lines closer than 0.1° are merged.

Atomic structure:
Cell lengths 4.6085, 15.3304, 16.0663 Å; angles 90.00, 90.00, 90.00 degrees
Space group Cmcm (No. 63)
Inequivalent atoms, fractional coordinates:
K (0.0000, 0.1114, 0.2500) [4 per cell]
Li (0.0000, 0.1597, 0.7500) [4 per cell]
Pr (0.0000, 0.3659, 0.0632) [8 per cell]
Te (0.0000, 0.0000, 0.0000) [4 per cell]
Te (0.0000, 0.2679, 0.6131) [8 per cell]
Te (0.0000, 0.4367, 0.2500) [4 per cell]

Top 10 peaks for 2θ from 10° to 90°, in order of rising 2θ:
(hkl)  d [Å]  I_rel
0 0 2  8.033  32.5
0 2 4  3.558  58.6
1 3 0  3.422  35.4
1 3 1  3.347  67.2
1 3 2  3.149  58.5
0 2 5  2.964  22.0
1 1 5  2.598  33.4
2 0 0  2.305  100.0
1 1 6  2.289  22.1
1 7 8  1.409  27.3